Diffraction record for LiCrP4O12. The powder diffractogram is computed, not measured: it uses a DFT-relaxed cell (GGA+U, Alexandria) and Cu Kα, 1.54184 Å.
Neutral-atom scattering factors, no anomalous dispersion.

Structural model:
a b c (Å): 6.9553 6.9553 9.5579
angles (deg): 91.15 91.15 109.40
Sites, in units of the cell vectors:
Li  0.1697  0.8303  0.7500
Li  0.8303  0.1697  0.2500
Cr  0.1137  0.8863  0.2500
Cr  0.8863  0.1137  0.7500
P  0.1973  0.2789  0.0271
P  0.2684  0.6197  0.4634
P  0.2789  0.1973  0.5271
P  0.3803  0.7316  0.0366
P  0.6197  0.2684  0.9634
P  0.7211  0.8027  0.4729
P  0.7316  0.3803  0.5366
P  0.8027  0.7211  0.9729
O  0.0566  0.2882  0.9079
O  0.1022  0.1425  0.1475
O  0.1264  0.6436  0.3479
O  0.1425  0.1022  0.6475
O  0.2127  0.3744  0.4605
O  0.2680  0.7057  0.6050
O  0.2882  0.0566  0.4079
O  0.2943  0.7320  0.8950
O  0.3083  0.5002  0.0963
O  0.3564  0.8736  0.1521
O  0.3744  0.2127  0.9605
O  0.5002  0.3083  0.5963
O  0.4998  0.6917  0.4037
O  0.6256  0.7873  0.0395
O  0.6436  0.1264  0.8479
O  0.6917  0.4998  0.9037
O  0.7057  0.2680  0.1050
O  0.7118  0.9434  0.5921
O  0.7320  0.2943  0.3950
O  0.7873  0.6256  0.5395
O  0.8575  0.8978  0.3525
O  0.8736  0.3564  0.6521
O  0.8978  0.8575  0.8525
O  0.9434  0.7118  0.0921

Main lines, sorted by position (5 to 70 degrees two-theta):
- 2θ 16.18, I 58
- 2θ 16.61, I 86
- 2θ 18.58, I 90
- 2θ 23.35, I 100
- 2θ 27.20, I 98
- 2θ 27.55, I 99
- 2θ 28.53, I 63
- 2θ 29.55, I 42
- 2θ 31.94, I 76
- 2θ 32.69, I 46